# CaSm8Tm3
Computed powder diffractogram, Cu Kα (λ = 1.5418 Å). Input: a PBE-relaxed structure.

Cell and atoms:
a b c (Å): 20.375 3.636 12.622
angles (deg): 90.00 120.96 90.00
Space group Cm (No. 8)
Asymmetric unit:
Ca  0.000  0.000  0.000 x2
Sm  0.002  0.000  0.500 x2
Sm  0.167  0.000  0.469 x2
Sm  0.169  0.000  0.970 x2
Sm  0.173  0.500  0.229 x2
Sm  0.327  0.000  0.767 x2
Sm  0.332  0.500  0.025 x2
Sm  0.334  0.000  0.279 x2
Sm  0.499  0.000  0.739 x2
Tm  0.001  0.500  0.257 x2
Tm  0.166  0.500  0.720 x2
Tm  0.335  0.500  0.528 x2

Top 6 peaks for 10 to 90 degrees two-theta, sorted by position:
2θ/deg  d/Å  I (rel.)
28.52  3.130  337
30.70  2.912  525
31.49  2.841  1000
33.16  2.701  930
50.09  1.821  267
59.97  1.542  314

---

# NaIn5Pb7
Computed powder diffractogram, Cu Kα (λ = 1.5418 Å). Input: a PBE-relaxed structure.

Cell and atoms:
a b c (Å): 12.976 11.377 5.878
angles (deg): 90.00 112.75 90.00
Space group Cm (No. 8)
Asymmetric unit:
Na  0.000  0.000  0.000 x2
In  0.217  0.000  0.729 x2
In  0.223  0.221  0.062 x4
In  0.280  0.274  0.611 x4
Pb  0.008  0.194  0.506 x4
Pb  0.136  0.500  0.651 x2
Pb  0.285  0.500  0.263 x2
Pb  0.362  0.000  0.391 x2
Pb  0.496  0.146  0.020 x4

Top 6 peaks for 10 to 90 degrees two-theta, sorted by position:
2θ/deg  d/Å  I (rel.)
10.73  8.245  487
28.00  3.187  656
30.52  2.929  1000
31.30  2.857  742
32.15  2.784  476
32.36  2.767  621

---

# Sc5GaSe4
Computed powder diffractogram, Cu Kα (λ = 1.5418 Å). Input: a PBE-relaxed structure.

Cell and atoms:
a b c (Å): 8.700 8.700 5.481
angles (deg): 90.00 90.00 90.00
Space group I4/m (No. 87)
Asymmetric unit:
Sc  0.000  0.000  0.000 x2
Sc  0.097  0.292  0.500 x8
Ga  0.000  0.000  0.500 x2
Se  0.098  0.301  0.000 x8

Top 6 peaks for 10 to 90 degrees two-theta, sorted by position:
2θ/deg  d/Å  I (rel.)
32.55  2.751  962
32.68  2.740  477
46.76  1.943  1000
58.16  1.586  336
77.64  1.230  276
86.76  1.122  209